The following is a calculated XRD peak list of LiSi2B. It was derived from a DFT-relaxed cell (GGA-PBE, the Materials Project), using Cu Ka.
Peak positions follow from Bragg's law for the DFT cell and can differ from measured ones.

Lattice parameters (Å, degrees): 6.840 6.840 8.855 90.00 90.00 90.00
Fractional coordinates of all 32 atoms:
Li1 0.004 0.750 0.077
Li2 0.250 0.504 0.423
Li3 0.250 0.996 0.423
Li4 0.496 0.750 0.077
Li5 0.504 0.250 0.923
Li6 0.750 0.004 0.577
Li7 0.750 0.496 0.577
Li8 0.996 0.250 0.923
Si1 0.067 0.750 0.620
Si2 0.070 0.250 0.636
Si3 0.250 0.070 0.136
Si4 0.250 0.430 0.136
Si5 0.250 0.567 0.880
Si6 0.250 0.933 0.880
Si7 0.430 0.250 0.636
Si8 0.433 0.750 0.620
Si9 0.567 0.250 0.380
Si10 0.570 0.750 0.364
Si11 0.750 0.067 0.120
Si12 0.750 0.433 0.120
Si13 0.750 0.570 0.864
Si14 0.750 0.930 0.864
Si15 0.930 0.750 0.364
Si16 0.933 0.250 0.380
B1 0.008 0.508 0.750
B2 0.008 0.992 0.750
B3 0.492 0.508 0.750
B4 0.492 0.992 0.750
B5 0.508 0.008 0.250
B6 0.508 0.492 0.250
B7 0.992 0.008 0.250
B8 0.992 0.492 0.250

Peak list (8 most intense, 2θ = 5–70°, in order of falling intensity)
(2 0 1), 2θ 27.97, rel. 100; (2 0 3), 2θ 40.36, rel. 55; (2 2 4), 2θ 56.35, rel. 34; (2 2 0), 2θ 37.18, rel. 33; (3 0 2), 2θ 44.71, rel. 28; (0 0 4), 2θ 40.76, rel. 26; (2 1 2), 2θ 35.67, rel. 26; (3 2 2), 2θ 52.47, rel. 24